Simulated powder diffraction line list of Sc2CdRh4 for copper Kα, from a structure optimized by DFT (GGA-PBE).
Neutral-atom scattering factors, no anomalous dispersion.

Main lines, by angle (10° ≤ 2θ ≤ 80°):
| 2θ/deg | intensity |
| --- | --- |
| 28.52 | 31 |
| 40.66 | 100 |
| 40.89 | 94 |
| 59.03 | 31 |
| 73.99 | 16 |
| 74.15 | 30 |

Structural model:
Cell lengths 7.631, 7.631, 7.631 Å; angles 33.81, 33.81, 33.81 degrees
Atoms (fractional coordinates):
1 Sc 0.247 0.247 0.247
2 Sc 0.753 0.753 0.753
3 Cd 0.000 0.000 0.000
4 Rh 0.128 0.128 0.128
5 Rh 0.381 0.381 0.381
6 Rh 0.619 0.619 0.619
7 Rh 0.872 0.872 0.872

---

Simulated powder diffraction line list of KGaRh2 for copper Kα, from a structure optimized by DFT (GGA-PBE).
Neutral-atom scattering factors, no anomalous dispersion.

Main lines, by angle (10° ≤ 2θ ≤ 80°):
| 2θ/deg | intensity |
| --- | --- |
| 19.20 | 100 |
| 28.26 | 69 |
| 38.96 | 32 |
| 41.20 | 38 |
| 41.96 | 26 |
| 45.09 | 35 |

Structural model:
Cell lengths 4.800, 4.800, 17.224 Å; angles 90.00, 90.00, 90.00 degrees
Atoms (fractional coordinates):
1 K 0.000 0.000 0.000
2 K 0.000 0.500 0.250
3 K 0.500 0.000 0.750
4 K 0.500 0.500 0.500
5 Ga 0.000 0.000 0.500
6 Ga 0.000 0.500 0.750
7 Ga 0.500 0.000 0.250
8 Ga 0.500 0.500 0.000
9 Rh 0.080 0.250 0.625
10 Rh 0.250 0.580 0.875
11 Rh 0.250 0.920 0.375
12 Rh 0.420 0.250 0.125
13 Rh 0.580 0.750 0.125
14 Rh 0.750 0.080 0.375
15 Rh 0.750 0.420 0.875
16 Rh 0.920 0.750 0.625